Entry 1:
Computed powder X-ray diffraction pattern of UVCuO10 for copper Kα, from a GGA+U-relaxed structure.
No peak broadening, texture or thermal motion is included.

Cell and atoms:
```
data_UVCuO10
_space_group_name_H-M_alt 'P 1 21/c 1'
_space_group_IT_number 14
_cell_length_a 9.7656
_cell_length_b 8.2342
_cell_length_c 10.7387
_cell_angle_alpha 90.00
_cell_angle_beta 105.37
_cell_angle_gamma 90.00
loop_
_space_group_symop_operation_xyz
'x,y,z'
'-x,-y,-z'
'-x,y+1/2,-z+1/2'
'x,-y+1/2,z+1/2'
loop_
_atom_site_label
_atom_site_type_symbol
_atom_site_fract_x
_atom_site_fract_y
_atom_site_fract_z
_atom_site_occupancy
U1 U 0.0043 0.0172 0.3212 1
V1 V 0.0891 0.6402 0.5603 1
Cu1 Cu 0.4331 0.0375 0.0996 1
O1 O 0.0121 0.0582 0.1050 1
O2 O 0.0435 0.6543 0.9995 1
O3 O 0.0661 0.7100 0.7166 1
O4 O 0.1813 0.0410 0.7321 1
O5 O 0.1897 0.0769 0.3703 1
O6 O 0.2620 0.6047 0.5750 1
O7 O 0.4068 0.1936 0.6180 1
O8 O 0.4152 0.0759 0.9286 1
O9 O 0.4705 0.6193 0.8363 1
O10 O 0.4857 0.0298 0.2841 1
```

Main lines, in order of rising 2θ (10° ≤ 2θ ≤ 80°):
| Position (°2θ) | d_spacing | I (rel.) | hkl |
| --- | --- | --- | --- |
| 15.33 | 5.781 | 21 | 1 1 -1 |
| 17.91 | 4.951 | 42 | 1 1 1 |
| 18.85 | 4.708 | 100 | 2 0 0 |
| 21.60 | 4.114 | 73 | 0 2 0 |
| 27.29 | 3.268 | 51 | 1 1 -3 |
| 27.71 | 3.219 | 27 | 1 2 -2 |
| 28.03 | 3.183 | 37 | 0 1 3 |
| 28.81 | 3.099 | 39 | 2 2 0 |
| 29.79 | 2.999 | 26 | 2 1 -3 |
| 45.13 | 2.009 | 20 | 0 1 5 |

Entry 2:
Computed powder X-ray diffraction pattern of MnSO5 for copper Kα, from a GGA+U-relaxed structure.
No peak broadening, texture or thermal motion is included.

Cell and atoms:
```
data_MnSO5
_space_group_name_H-M_alt 'P -1'
_space_group_IT_number 2
_cell_length_a 5.1368
_cell_length_b 5.4651
_cell_length_c 6.9295
_cell_angle_alpha 106.61
_cell_angle_beta 105.41
_cell_angle_gamma 99.68
loop_
_space_group_symop_operation_xyz
'x,y,z'
'-x,-y,-z'
loop_
_atom_site_label
_atom_site_type_symbol
_atom_site_fract_x
_atom_site_fract_y
_atom_site_fract_z
_atom_site_occupancy
Mn1 Mn 0.0000 0.0000 0.0000 1
Mn2 Mn 0.0000 0.0000 0.5000 1
S1 S 0.3402 0.6791 0.2522 1
O1 O 0.0882 0.9290 0.7552 1
O2 O 0.1313 0.6921 0.3705 1
O3 O 0.2808 0.4044 0.1145 1
O4 O 0.3289 0.8646 0.1329 1
O5 O 0.3733 0.2441 0.5836 1
```

Main lines, in order of rising 2θ (10° ≤ 2θ ≤ 80°):
| Position (°2θ) | d_spacing | I (rel.) | hkl |
| --- | --- | --- | --- |
| 17.56 | 5.051 | 81 | 0 1 0 |
| 18.33 | 4.839 | 69 | 0 1 -1 |
| 18.58 | 4.776 | 49 | 1 0 0 |
| 19.27 | 4.607 | 48 | 1 0 -1 |
| 26.23 | 3.398 | 95 | -1 1 1 |
| 27.81 | 3.208 | 74 | 0 1 -2 |
| 28.42 | 3.140 | 71 | 1 0 -2 |
| 28.92 | 3.087 | 100 | 1 1 0 |
| 35.53 | 2.526 | 49 | 1 -2 0 |
| 36.33 | 2.473 | 32 | 1 -1 2 |

Entry 3:
Computed powder X-ray diffraction pattern of BaPrEuWO6 for copper Kα, from a GGA+U-relaxed structure.
No peak broadening, texture or thermal motion is included.

Cell and atoms:
```
data_BaPrEuWO6
_space_group_name_H-M_alt 'F -4 3 m'
_space_group_IT_number 216
_space_group_name_Hall 'F -4 2 3'
_cell_length_a 8.6586
_cell_length_b 8.6586
_cell_length_c 8.6586
_cell_angle_alpha 90.00
_cell_angle_beta 90.00
_cell_angle_gamma 90.00
loop_
_atom_site_label
_atom_site_type_symbol
_atom_site_fract_x
_atom_site_fract_y
_atom_site_fract_z
_atom_site_occupancy
Ba1 Ba 0.0000 0.0000 0.0000 1
Pr1 Pr 0.2500 0.2500 0.7500 1
Eu1 Eu 0.0000 0.0000 0.5000 1
W1 W 0.2500 0.2500 0.2500 1
O1 O 0.0197 0.2500 0.2500 1
```

Main lines, in order of rising 2θ (10° ≤ 2θ ≤ 80°):
| Position (°2θ) | d_spacing | I (rel.) | hkl |
| --- | --- | --- | --- |
| 17.74 | 4.999 | 2 | 1 1 1 |
| 20.51 | 4.329 | 2 | 2 0 0 |
| 29.17 | 3.061 | 100 | 2 2 0 |
| 34.35 | 2.611 | 1 | 3 1 1 |
| 41.73 | 2.165 | 28 | 4 0 0 |
| 46.93 | 1.936 | 1 | 4 2 0 |
| 51.72 | 1.767 | 41 | 4 2 2 |
| 60.48 | 1.531 | 18 | 4 4 0 |
| 68.54 | 1.369 | 19 | 6 2 0 |
| 76.17 | 1.250 | 6 | 4 4 4 |

Entry 4:
Computed powder X-ray diffraction pattern of Li2Fe3BiO8 for copper Kα, from a GGA+U-relaxed structure.
No peak broadening, texture or thermal motion is included.

Cell and atoms:
```
data_Li2Fe3BiO8
_space_group_name_H-M_alt 'C 1 2 1'
_space_group_IT_number 5
_cell_length_a 10.5222
_cell_length_b 6.0844
_cell_length_c 6.2679
_cell_angle_alpha 90.00
_cell_angle_beta 124.09
_cell_angle_gamma 90.00
loop_
_space_group_symop_operation_xyz
'x,y,z'
'-x,y,-z'
'x+1/2,y+1/2,z'
'-x+1/2,y+1/2,-z'
loop_
_atom_site_label
_atom_site_type_symbol
_atom_site_fract_x
_atom_site_fract_y
_atom_site_fract_z
_atom_site_occupancy
Li1 Li 0.1304 0.0000 0.3913 1
Fe1 Fe 0.0000 0.5007 0.0000 1
Fe2 Fe 0.2504 0.2501 0.0006 1
Bi1 Bi 0.0000 0.4994 0.5000 1
O1 O 0.0112 0.2663 0.7668 1
O2 O 0.0109 0.7336 0.7666 1
O3 O 0.2325 0.4992 0.1969 1
O4 O 0.2443 0.4998 0.7663 1
```

Main lines, in order of rising 2θ (10° ≤ 2θ ≤ 80°):
| Position (°2θ) | d_spacing | I (rel.) | hkl |
| --- | --- | --- | --- |
| 17.78 | 4.988 | 100 | 1 1 0 |
| 20.36 | 4.362 | 20 | 2 0 0 |
| 33.43 | 2.681 | 22 | 1 1 -2 |
| 34.18 | 2.623 | 39 | 3 1 0 |
| 36.01 | 2.494 | 15 | 2 2 0 |
| 41.40 | 2.181 | 40 | 4 0 0 |
| 45.98 | 1.974 | 20 | 1 3 0 |
| 54.74 | 1.677 | 13 | 5 1 0 |
| 59.02 | 1.565 | 13 | 2 2 2 |
| 60.96 | 1.520 | 12 | 0 4 0 |

Entry 5:
Computed powder X-ray diffraction pattern of MgMn6O9F3 for copper Kα, from a GGA+U-relaxed structure.
No peak broadening, texture or thermal motion is included.

Cell and atoms:
```
data_MgMn6O9F3
_space_group_name_H-M_alt 'P 1'
_space_group_IT_number 1
_cell_length_a 5.1640
_cell_length_b 5.2881
_cell_length_c 8.8640
_cell_angle_alpha 87.22
_cell_angle_beta 86.62
_cell_angle_gamma 76.05
loop_
_space_group_symop_operation_xyz
'x,y,z'
loop_
_atom_site_label
_atom_site_type_symbol
_atom_site_fract_x
_atom_site_fract_y
_atom_site_fract_z
_atom_site_occupancy
Mg1 Mg 0.0000 0.0000 0.0000 1
Mn1 Mn 0.0098 0.4986 0.8297 1
Mn2 Mn 0.0144 0.5011 0.1767 1
Mn3 Mn 0.5006 0.9961 0.6703 1
Mn4 Mn 0.5040 0.9927 0.0031 1
Mn5 Mn 0.5251 0.0060 0.3417 1
Mn6 Mn 0.9941 0.4796 0.5050 1
O1 O 0.1831 0.2910 0.0049 1
O2 O 0.2068 0.3030 0.3371 1
O3 O 0.2311 0.3250 0.6676 1
O4 O 0.3352 0.8694 0.8424 1
O5 O 0.3616 0.8732 0.5176 1
O6 O 0.6761 0.1215 0.1538 1
O7 O 0.7957 0.6716 0.3405 1
O8 O 0.8187 0.6997 0.6700 1
O9 O 0.8277 0.6982 0.9989 1
F1 F 0.2553 0.8085 0.1535 1
F2 F 0.7069 0.1705 0.5198 1
F3 F 0.7421 0.1709 0.8384 1
```

Main lines, in order of rising 2θ (10° ≤ 2θ ≤ 80°):
| Position (°2θ) | d_spacing | I (rel.) | hkl |
| --- | --- | --- | --- |
| 21.64 | 4.106 | 100 | 1 1 0 |
| 27.72 | 3.219 | 50 | 1 -1 0 |
| 34.55 | 2.596 | 31 | 0 1 3 |
| 34.99 | 2.564 | 14 | 0 2 0 |
| 35.67 | 2.517 | 15 | 0 1 -3 |
| 36.11 | 2.487 | 13 | 1 0 -3 |
| 44.11 | 2.053 | 20 | 2 2 0 |
| 46.07 | 1.970 | 16 | 2 1 3 |
| 49.37 | 1.846 | 14 | 2 1 -3 |
| 53.55 | 1.711 | 21 | 2 -1 3 |

Entry 6:
Computed powder X-ray diffraction pattern of Sr2CoO4 for copper Kα, from a GGA+U-relaxed structure.
No peak broadening, texture or thermal motion is included.

Cell and atoms:
```
data_Sr2CoO4
_space_group_name_H-M_alt 'P m m n'
_space_group_IT_number 59
_cell_length_a 3.9221
_cell_length_b 12.4204
_cell_length_c 7.7749
_cell_angle_alpha 90.00
_cell_angle_beta 90.00
_cell_angle_gamma 90.00
loop_
_space_group_symop_operation_xyz
'x,y,z'
'-x,-y,-z'
'-x+1/2,-y+1/2,z'
'x+1/2,y+1/2,-z'
'x+1/2,-y,-z'
'-x+1/2,y,z'
'-x,y+1/2,-z'
'x,-y+1/2,z'
loop_
_atom_site_label
_atom_site_type_symbol
_atom_site_fract_x
_atom_site_fract_y
_atom_site_fract_z
_atom_site_occupancy
Sr1 Sr 0.2500 0.1092 0.1206 1
Sr2 Sr 0.2500 0.1089 0.6294 1
Co1 Co 0.2500 0.7500 0.1252 1
Co2 Co 0.2500 0.7500 0.6247 1
O1 O 0.2500 0.2500 0.3751 1
O2 O 0.2500 0.2500 0.8744 1
O3 O 0.2500 0.5901 0.1259 1
O4 O 0.2500 0.5977 0.6240 1
O5 O 0.2500 0.7500 0.3591 1
O6 O 0.2500 0.7500 0.8915 1
```

Main lines, in order of rising 2θ (10° ≤ 2θ ≤ 80°):
| Position (°2θ) | d_spacing | I (rel.) | hkl |
| --- | --- | --- | --- |
| 31.42 | 2.847 | 65 | 1 3 0 |
| 31.57 | 2.834 | 64 | 0 3 2 |
| 32.43 | 2.761 | 100 | 1 0 2 |
| 43.73 | 2.070 | 18 | 0 6 0 |
| 43.88 | 2.063 | 35 | 1 4 2 |
| 46.30 | 1.961 | 28 | 2 0 0 |
| 46.73 | 1.944 | 27 | 0 0 4 |
| 55.47 | 1.657 | 22 | 1 6 2 |
| 57.11 | 1.613 | 27 | 2 3 2 |
| 57.40 | 1.605 | 23 | 1 3 4 |

Entry 7:
Computed powder X-ray diffraction pattern of MgBe2Co4O8 for copper Kα, from a GGA+U-relaxed structure.
No peak broadening, texture or thermal motion is included.

Cell and atoms:
```
data_MgBe2Co4O8
_space_group_name_H-M_alt 'F -4 3 m'
_space_group_IT_number 216
_space_group_name_Hall 'F -4 2 3'
_cell_length_a 8.4222
_cell_length_b 8.4222
_cell_length_c 8.4222
_cell_angle_alpha 90.00
_cell_angle_beta 90.00
_cell_angle_gamma 90.00
loop_
_atom_site_label
_atom_site_type_symbol
_atom_site_fract_x
_atom_site_fract_y
_atom_site_fract_z
_atom_site_occupancy
Mg1 Mg 0.0000 0.0000 0.0000 1
Be1 Be 0.0000 0.0000 0.5000 1
Be2 Be 0.2500 0.2500 0.2500 1
Co1 Co 0.1485 0.1485 0.8515 1
O1 O 0.1199 0.1199 0.6199 1
O2 O 0.1290 0.1290 0.1290 1
```

Main lines, in order of rising 2θ (10° ≤ 2θ ≤ 80°):
| Position (°2θ) | d_spacing | I (rel.) | hkl |
| --- | --- | --- | --- |
| 18.24 | 4.863 | 100 | 1 1 1 |
| 30.01 | 2.978 | 9 | 2 2 0 |
| 35.35 | 2.539 | 24 | 3 1 1 |
| 42.96 | 2.106 | 37 | 4 0 0 |
| 47.03 | 1.932 | 33 | 3 3 1 |
| 48.33 | 1.883 | 9 | 4 2 0 |
| 53.29 | 1.719 | 15 | 4 2 2 |
| 56.80 | 1.621 | 27 | 3 3 3 |
| 62.37 | 1.489 | 26 | 4 4 0 |
| 66.63 | 1.404 | 7 | 6 0 0 |

Entry 8:
Computed powder X-ray diffraction pattern of Sr3Co2Cl2O4 for copper Kα, from a GGA+U-relaxed structure.
No peak broadening, texture or thermal motion is included.

Cell and atoms:
```
data_Sr3Co2Cl2O4
_space_group_name_H-M_alt 'P 1'
_space_group_IT_number 1
_cell_length_a 4.1722
_cell_length_b 7.9671
_cell_length_c 11.6233
_cell_angle_alpha 99.77
_cell_angle_beta 100.33
_cell_angle_gamma 90.23
loop_
_space_group_symop_operation_xyz
'x,y,z'
loop_
_atom_site_label
_atom_site_type_symbol
_atom_site_fract_x
_atom_site_fract_y
_atom_site_fract_z
_atom_site_occupancy
Sr1 Sr 0.0000 0.0000 0.0000 1
Sr2 Sr 0.0024 0.5091 0.0038 1
Sr3 Sr 0.1457 0.0843 0.2979 1
Sr4 Sr 0.1554 0.5718 0.2996 1
Sr5 Sr 0.2943 0.1487 0.5942 1
Sr6 Sr 0.3021 0.6560 0.5973 1
Co1 Co 0.5640 0.2855 0.1270 1
Co2 Co 0.5747 0.7921 0.1485 1
Co3 Co 0.7262 0.8653 0.4494 1
Co4 Co 0.7362 0.3710 0.4703 1
Cl1 Cl 0.4454 0.7223 0.8908 1
Cl2 Cl 0.4514 0.2317 0.9035 1
Cl3 Cl 0.8467 0.4244 0.6944 1
Cl4 Cl 0.8514 0.9341 0.7052 1
O1 O 0.0715 0.2885 0.1423 1
O2 O 0.0726 0.7903 0.1442 1
O3 O 0.2274 0.3677 0.4554 1
O4 O 0.2268 0.8664 0.4535 1
O5 O 0.5725 0.0382 0.1449 1
O6 O 0.5742 0.5411 0.1463 1
O7 O 0.7233 0.1154 0.4511 1
O8 O 0.7290 0.6176 0.4524 1
```

Main lines, in order of rising 2θ (10° ≤ 2θ ≤ 80°):
| Position (°2θ) | d_spacing | I (rel.) | hkl |
| --- | --- | --- | --- |
| 15.74 | 5.631 | 26 | 0 0 2 |
| 30.98 | 2.887 | 59 | 1 -2 0 |
| 31.10 | 2.875 | 59 | 1 2 -1 |
| 35.22 | 2.548 | 100 | 1 0 -4 |
| 35.88 | 2.503 | 94 | 0 2 3 |
| 39.37 | 2.288 | 14 | 1 -2 3 |
| 43.38 | 2.086 | 40 | 2 0 -1 |
| 45.54 | 1.992 | 34 | 0 4 -1 |
| 57.59 | 1.601 | 27 | 2 2 -5 |
| 58.77 | 1.571 | 22 | -1 4 3 |